Theoretical PXRD pattern
Compound: K2Ag2PbF8
Radiation: Cu Kα (weighted mean of Kα1 and Kα2)
Structure: a GGA-PBE-relaxed structure

Crystal structure
```
data_K2Ag2PbF8
_symmetry_space_group_name_H-M 'R -3 m'
_symmetry_Int_Tables_number 166
_symmetry_space_group_name_Hall '-R 3 2"'
_cell_length_a 5.5081
_cell_length_b 5.5081
_cell_length_c 22.7555
_cell_angle_alpha 90.00
_cell_angle_beta 90.00
_cell_angle_gamma 120.00
loop_
_atom_site_label
_atom_site_type_symbol
_atom_site_fract_x
_atom_site_fract_y
_atom_site_fract_z
K1 K 0.0000 0.0000 0.1933
Ag1 Ag 0.0000 0.0000 0.3869
Pb1 Pb 0.0000 0.0000 0.0000
F1 F 0.0000 0.0000 0.2963
F2 F 0.0421 0.5211 0.7659
```

Peak list (10 most intense, 10 to 90 degrees two-theta, in order of rising 2θ)
11.67 deg, I 77, hkl 0 0 3; 20.19 deg, I 36, hkl 0 1 2; 27.08 deg, I 100, hkl 0 1 5; 32.51 deg, I 99, hkl 1 1 0; 34.65 deg, I 54, hkl 1 1 3; 36.79 deg, I 20, hkl 0 1 8; 42.81 deg, I 43, hkl 2 0 5; 44.09 deg, I 40, hkl 1 0 10; 54.76 deg, I 36, hkl 1 2 5; 66.12 deg, I 18, hkl 2 1 10